(1)
Starting from the GGA-PBE geometry in Alexandria, the X-ray diffraction stick pattern of Cu2PbBr2 was simulated for Cu Kα (λ = 1.5418 Å).

```
5
Lattice="-1.828 1.828 9.522 1.828 -1.828 9.522 1.828 1.828 -9.522" Properties=species:S:1:pos:R:3 pbc="T T T"
Cu 1.828 0.000 4.761
Cu 0.000 1.828 4.761
Pb 0.000 0.000 0.000
Br 0.000 0.000 6.567
Br 0.000 0.000 12.477
```

The 10 most intense peaks (10° ≤ 2θ ≤ 90°), in order of rising 2θ:
18.64°, 4.761 Å, rel. 226
24.80°, 3.590 Å, rel. 113
28.16°, 3.168 Å, rel. 1000
33.99°, 2.637 Å, rel. 134
36.00°, 2.495 Å, rel. 291
45.24°, 2.004 Å, rel. 459
49.79°, 1.831 Å, rel. 163
49.89°, 1.828 Å, rel. 182
58.27°, 1.583 Å, rel. 284
73.18°, 1.293 Å, rel. 163

=====

(2)
Starting from the GGA-PBE geometry in Alexandria, the X-ray diffraction stick pattern of BC3 was simulated for Cu Kα (λ = 1.5418 Å).

```
12
Lattice="2.544 0.000 0.000 -1.272 2.203 0.000 0.000 0.000 13.184" Properties=species:S:1:pos:R:3 pbc="T T T"
B 0.000 0.000 0.000
B 0.000 1.469 1.058
B 1.272 0.734 10.965
C 0.000 0.000 5.219
C 0.000 0.000 6.781
C 0.000 0.000 11.664
C 0.000 1.469 2.642
C 0.000 1.469 7.281
C 0.000 1.469 8.850
C 1.272 0.734 3.158
C 1.272 0.734 4.714
C 1.272 0.734 9.347
```

The 10 most intense peaks (10° ≤ 2θ ≤ 90°), in order of rising 2θ:
13.43°, 6.592 Å, rel. 43
41.08°, 2.197 Å, rel. 264
43.30°, 2.089 Å, rel. 1000
46.09°, 1.969 Å, rel. 34
48.32°, 1.883 Å, rel. 52
71.49°, 1.320 Å, rel. 193
74.62°, 1.272 Å, rel. 254
78.39°, 1.220 Å, rel. 78
85.91°, 1.131 Å, rel. 61
88.91°, 1.101 Å, rel. 105